[1]
Diffraction record for BaGdFeCuO5. The powder XRD pattern is theoretical, not measured: it uses a structure optimized by DFT (GGA+U) and Cu Ka.
Lines closer than 0.1° are merged.

The 12 most intense peaks (2θ from 10° to 90°), by angle:
d (Å)	I (rel.)	h k l
8.004	9	0 0 1
3.913	15	1 0 0
2.798	100	1 0 2
2.767	43	1 1 0
2.276	17	1 1 2
2.001	8	0 0 4
1.957	28	2 0 0
1.621	18	1 1 4
1.603	37	2 1 2
1.399	10	2 0 4
1.383	8	2 2 0
1.240	10	3 0 2

Structure:
Cell: 3.913 3.913 8.004 Å, 90.00 90.00 90.00°
Fractional positions:
Ba1 0.000 0.000 0.000
Gd1 0.000 0.000 0.464
Fe1 0.500 0.500 0.707
Cu1 0.500 0.500 0.253
O1 0.000 0.500 0.273
O2 0.000 0.500 0.638
O3 0.500 0.000 0.273
O4 0.500 0.000 0.638
O5 0.500 0.500 0.940



[2]
Diffraction record for Ba2La2Fe2Cu2O11. The powder XRD pattern is theoretical, not measured: it uses a structure optimized by DFT (GGA+U) and Cu Ka.
Lines closer than 0.1° are merged.

The 12 most intense peaks (2θ from 10° to 90°), by angle:
d (Å)	I (rel.)	h k l
3.967	10	1 1 0
2.805	100	1 1 2
2.290	15	2 0 2
1.983	31	2 2 0
1.774	5	1 1 4
1.619	38	3 1 2
1.402	18	4 0 0
1.322	3	3 1 4
1.254	16	3 3 2
1.196	5	2 0 6
1.145	6	4 0 4
1.100	2	2 2 6

Structure:
Cell: 5.610 5.610 7.934 Å, 90.00 90.00 90.00°
Fractional positions:
Ba1 0.000 0.500 0.000
Ba2 0.500 0.000 0.000
La1 0.000 0.500 0.497
La2 0.500 0.000 0.497
Fe1 0.000 0.000 0.251
Fe2 0.500 0.500 0.729
Cu1 0.000 0.000 0.754
Cu2 0.500 0.500 0.259
O1 0.000 0.000 0.006
O2 0.000 0.000 0.503
O3 0.254 0.254 0.267
O4 0.254 0.746 0.267
O5 0.259 0.259 0.745
O6 0.259 0.741 0.745
O7 0.500 0.500 0.501
O8 0.741 0.259 0.745
O9 0.741 0.741 0.745
O10 0.746 0.254 0.267
O11 0.746 0.746 0.267